# CsSbH4O5
Theoretical X-ray diffraction stick pattern, λ = 1.5418 Å (Cu Kα). Input: a structure optimized by DFT (PBE).

Structure:
Cell lengths 6.7509, 6.7803, 7.5970 Å; angles 90.30, 109.97, 113.63 degrees
Atoms (fractional coordinates):
Cs 0.1719 0.0086 0.2858
Cs 0.8281 0.9914 0.7142
Sb 0.4628 0.6331 0.1410
Sb 0.5372 0.3669 0.8590
H 0.0954 0.6261 0.8803
H 0.2803 0.5197 0.3855
H 0.2863 0.5424 0.6844
H 0.3415 0.9544 0.8099
H 0.6585 0.0456 0.1901
H 0.7137 0.4576 0.3156
H 0.7197 0.4803 0.6145
H 0.9046 0.3739 0.1197
O 0.2205 0.5589 0.2581
O 0.2614 0.7342 0.9320
O 0.3141 0.3279 0.9926
O 0.3405 0.4523 0.6289
O 0.3575 0.0605 0.7196
O 0.6425 0.9395 0.2804
O 0.6595 0.5477 0.3711
O 0.6859 0.6721 0.0074
O 0.7386 0.2658 0.0680
O 0.7795 0.4411 0.7419

Top 6 peaks for 5° ≤ 2θ ≤ 70°, sorted by position:
(hkl)	Position (°2θ)	Rel. int.
1 -1 0	16.02	689
0 1 -1	17.55	863
1 0 1	23.40	787
1 1 -1	24.44	758
-1 1 2	27.00	1000
-1 2 1	28.92	773